(1)
KEuTiO4: computed PXRD pattern (Cu Kα X-rays), based on a structure optimized by DFT (PBE).

Top 8 peaks for 10 to 80 degrees two-theta, by angle:
2theta	d (Å)	I (rel.)	index
26.5	3.360	42	2 1 1
30.5	2.927	100	3 1 1
32.3	2.771	28	0 2 0
32.8	2.730	30	0 0 2
40.6	2.222	14	6 0 0
46.7	1.945	31	0 2 2
56.5	1.628	16	3 3 1
57.2	1.612	17	3 1 3

Atomic structure:
```
data_KEuTiO4
_cell_length_a 13.3303
_cell_length_b 5.5420
_cell_length_c 5.4610
_cell_angle_alpha 90.00
_cell_angle_beta 90.00
_cell_angle_gamma 90.00
_symmetry_space_group_name_H-M 'P b c m'
_symmetry_Int_Tables_number 57
loop_
_symmetry_equiv_pos_as_xyz
'x,y,z'
'-x,-y,-z'
'-x,-y,z+1/2'
'x,y,-z+1/2'
'x,-y+1/2,-z'
'-x,y+1/2,z'
'-x,y+1/2,-z+1/2'
'x,-y+1/2,z+1/2'
loop_
_atom_site_label
_atom_site_type_symbol
_atom_site_fract_x
_atom_site_fract_y
_atom_site_fract_z
_atom_site_occupancy
K1 K 0.0958 0.0180 0.2500 1
Eu1 Eu 0.3979 0.0235 0.2500 1
Ti1 Ti 0.2527 0.5072 0.2500 1
O1 O 0.1204 0.5263 0.2500 1
O2 O 0.2708 0.2500 0.0000 1
O3 O 0.2938 0.7500 0.0000 1
O4 O 0.4358 0.0632 0.7500 1
```

---

(2)
KEuZr2O6: computed PXRD pattern (Cu Kα X-rays), based on a structure optimized by DFT (PBE).

Top 8 peaks for 10 to 80 degrees two-theta, by angle:
2theta	d (Å)	I (rel.)	index
18.3	4.839	22	1 1 1
30.2	2.963	100	2 2 0
35.5	2.527	14	3 1 1
43.2	2.095	34	4 0 0
53.6	1.711	39	4 2 2
62.7	1.482	21	4 4 0
71.1	1.325	17	6 2 0
79.2	1.210	7	4 4 4

Atomic structure:
```
data_KEuZr2O6
_cell_length_a 8.3814
_cell_length_b 8.3814
_cell_length_c 8.3814
_cell_angle_alpha 90.00
_cell_angle_beta 90.00
_cell_angle_gamma 90.00
_symmetry_space_group_name_H-M 'F m -3 m'
_symmetry_Int_Tables_number 225
_symmetry_space_group_name_Hall '-F 4 2 3'
loop_
_atom_site_label
_atom_site_type_symbol
_atom_site_fract_x
_atom_site_fract_y
_atom_site_fract_z
_atom_site_occupancy
K1 K 0.0000 0.0000 0.0000 1
Eu1 Eu 0.0000 0.0000 0.5000 1
Zr1 Zr 0.2500 0.2500 0.2500 1
O1 O 0.0000 0.2500 0.2500 1
```

---

(3)
KEuZr4O12: computed PXRD pattern (Cu Kα X-rays), based on a structure optimized by DFT (PBE).

Top 8 peaks for 10 to 80 degrees two-theta, by angle:
2theta	d (Å)	I (rel.)	index
18.5	4.786	100	1 1 1
30.3	2.951	100	2 2 0
30.4	2.940	83	2 0 2
30.8	2.901	93	0 2 2
42.7	2.116	36	4 0 0
53.6	1.709	40	4 2 2
54.4	1.686	41	2 4 2
54.6	1.680	40	2 2 4

Atomic structure:
```
data_KEuZr4O12
_cell_length_a 8.4636
_cell_length_b 8.2339
_cell_length_c 8.1770
_cell_angle_alpha 90.00
_cell_angle_beta 90.00
_cell_angle_gamma 90.00
_symmetry_space_group_name_H-M 'A m m 2'
_symmetry_Int_Tables_number 38
loop_
_symmetry_equiv_pos_as_xyz
'x,y,z'
'-x,-y,z'
'-x,y,z'
'x,-y,z'
'x,y+1/2,z+1/2'
'-x,-y+1/2,z+1/2'
'-x,y+1/2,z+1/2'
'x,-y+1/2,z+1/2'
loop_
_atom_site_label
_atom_site_type_symbol
_atom_site_fract_x
_atom_site_fract_y
_atom_site_fract_z
_atom_site_occupancy
K1 K 0.0000 0.0000 0.0000 1
Eu1 Eu 0.5000 0.0000 0.5445 1
Zr1 Zr 0.2366 0.2394 0.2743 1
O1 O 0.0000 0.2030 0.2800 1
O2 O 0.2199 0.0000 0.7244 1
O3 O 0.2596 0.2089 0.0237 1
O4 O 0.3123 0.0000 0.3349 1
O5 O 0.5000 0.1949 0.7512 1
```

---

(4)
KEuPS4: computed PXRD pattern (Cu Kα X-rays), based on a structure optimized by DFT (PBE).

Top 8 peaks for 10 to 80 degrees two-theta, by angle:
2theta	d (Å)	I (rel.)	index
10.5	8.429	100	2 0 0
21.8	4.079	35	2 1 1
26.8	3.323	31	0 2 0
28.6	3.126	33	4 1 1
29.3	3.049	39	2 0 2
34.4	2.609	28	4 2 0
34.7	2.582	29	6 0 1
40.1	2.246	33	2 2 2

Atomic structure:
```
data_KEuPS4
_cell_length_a 16.8589
_cell_length_b 6.6455
_cell_length_c 6.5406
_cell_angle_alpha 90.00
_cell_angle_beta 90.00
_cell_angle_gamma 90.00
_symmetry_space_group_name_H-M 'P n m a'
_symmetry_Int_Tables_number 62
loop_
_symmetry_equiv_pos_as_xyz
'x,y,z'
'-x,-y,-z'
'-x+1/2,-y,z+1/2'
'x+1/2,y,-z+1/2'
'x+1/2,-y+1/2,-z+1/2'
'-x+1/2,y+1/2,z+1/2'
'-x,y+1/2,-z'
'x,-y+1/2,z'
loop_
_atom_site_label
_atom_site_type_symbol
_atom_site_fract_x
_atom_site_fract_y
_atom_site_fract_z
_atom_site_occupancy
K1 K 0.2117 0.2500 0.0186 1
Eu1 Eu 0.0220 0.7500 0.7080 1
P1 P 0.0981 0.7500 0.2209 1
S1 S 0.0220 0.2500 0.8442 1
S2 S 0.1214 0.5017 0.3996 1
S3 S 0.1677 0.7500 0.9653 1
```